[1]
Structure and calculated PXRD pattern of TlW3C2 (a PBE-relaxed structure; a wavelength of 1.5418 Å).

Top 8 peaks for 5 to 70 degrees two-theta, by intensity:
hkl 1 0 4, d = 2.366 Å, 38.0 deg, I = 100
hkl 0 0 8, d = 2.422 Å, 37.1 deg, I = 29
hkl 1 1 0, d = 1.566 Å, 59.0 deg, I = 26
hkl 1 0 1, d = 2.686 Å, 33.4 deg, I = 20
hkl 1 0 12, d = 1.387 Å, 67.5 deg, I = 19
hkl 1 0 3, d = 2.501 Å, 35.9 deg, I = 17
hkl 1 0 5, d = 2.222 Å, 40.6 deg, I = 13
hkl 1 0 7, d = 1.937 Å, 46.9 deg, I = 11

Structural model:
a = 3.132 Å, b = 3.132 Å, c = 19.377 Å
α = 90.00°, β = 90.00°, γ = 120.00°
Atoms (fractional coordinates):
Tl1 0.000 0.000 0.250
Tl2 0.000 0.000 0.750
W1 0.000 0.000 0.000
W2 0.000 0.000 0.500
W3 0.333 0.667 0.123
W4 0.333 0.667 0.377
W5 0.667 0.333 0.623
W6 0.667 0.333 0.877
C1 0.333 0.667 0.566
C2 0.333 0.667 0.934
C3 0.667 0.333 0.066
C4 0.667 0.333 0.434

=====

[2]
Structure and calculated PXRD pattern of Pr2Cu2SbAs2P (a PBE-relaxed structure; a wavelength of 1.5418 Å).

Top 8 peaks for 5 to 70 degrees two-theta, by intensity:
hkl 1 1 2, d = 2.488 Å, 36.1 deg, I = 100
hkl 2 0 0, d = 2.010 Å, 45.1 deg, I = 37
hkl 1 0 3, d = 2.610 Å, 34.4 deg, I = 37
hkl 1 0 1, d = 3.744 Å, 23.8 deg, I = 26
hkl 1 0 5, d = 1.832 Å, 49.8 deg, I = 21
hkl 1 0 2, d = 3.168 Å, 28.2 deg, I = 18
hkl 2 1 3, d = 1.592 Å, 57.9 deg, I = 16
hkl 2 1 5, d = 1.354 Å, 69.4 deg, I = 15

Structural model:
a = 4.020 Å, b = 4.020 Å, c = 10.294 Å
α = 90.00°, β = 90.00°, γ = 90.00°
Atoms (fractional coordinates):
Pr1 0.000 0.500 0.246
Pr2 0.500 0.000 0.754
Cu1 0.000 0.000 0.500
Cu2 0.500 0.500 0.500
Sb1 0.500 0.500 0.000
As1 0.000 0.500 0.647
As2 0.500 0.000 0.353
P1 0.000 0.000 0.000